[1]
Nd3Si3Ni: computed powder diffractogram (Cu Kα (weighted mean of Kα1 and Kα2)), based on a structure optimized by DFT (GGA-PBE).
No peak broadening, texture or thermal motion is included.

Structure:
```
data_Nd3Si3Ni
_chemical_formula_sum 'Nd6 Si6 Ni2'
_cell_length_a 4.0293
_cell_length_b 4.3298
_cell_length_c 18.0058
_cell_angle_alpha 90.00
_cell_angle_beta 90.00
_cell_angle_gamma 90.00
_space_group_name_H-M_alt 'I m m 2'
_space_group_IT_number 44
_space_group_name_Hall 'I 2 -2'
loop_
_atom_site_label
_atom_site_fract_x
_atom_site_fract_y
_atom_site_fract_z
_atom_site_occupancy
Nd1 0.0000 0.0000 0.0000 1
Nd2 0.0000 0.0000 0.3674 1
Nd3 0.0000 0.5000 0.6815 1
Si1 0.0000 0.0000 0.5462 1
Si2 0.0000 0.0000 0.8229 1
Si3 0.0000 0.5000 0.2415 1
Ni1 0.0000 0.5000 0.1154 1
```

Principal peaks in the range 2θ = 10–80°, in order of falling intensity:
- 31.9 deg, I = 100, (1 1 2)
- 32.3 deg, I = 59, (0 1 5)
- 26.6 deg, I = 53, (1 0 3)
- 41.7 deg, I = 41, (0 2 0)
- 51.0 deg, I = 26, (1 0 9)
- 56.5 deg, I = 24, (2 1 5)


[2]
Nd12Ni6Sn: computed powder diffractogram (Cu Kα (weighted mean of Kα1 and Kα2)), based on a structure optimized by DFT (GGA-PBE).
No peak broadening, texture or thermal motion is included.

Structure:
```
data_Nd12Ni6Sn
_chemical_formula_sum 'Nd24 Ni12 Sn2'
_cell_length_a 10.0652
_cell_length_b 10.0652
_cell_length_c 10.0652
_cell_angle_alpha 90.00
_cell_angle_beta 90.00
_cell_angle_gamma 90.00
_space_group_name_H-M_alt 'I m -3'
_space_group_IT_number 204
_space_group_name_Hall '-I 2 2 3'
loop_
_atom_site_label
_atom_site_fract_x
_atom_site_fract_y
_atom_site_fract_z
_atom_site_occupancy
Nd1 0.0000 0.1851 0.3067 1
Ni1 0.0000 0.3779 0.5000 1
Sn1 0.0000 0.0000 0.0000 1
```

Principal peaks in the range 2θ = 10–80°, in order of falling intensity:
- 33.3 deg, I = 100, (3 2 1)
- 28.0 deg, I = 42, (3 1 0)
- 30.8 deg, I = 35, (2 2 2)
- 53.1 deg, I = 33, (5 0 3)
- 56.3 deg, I = 33, (5 3 2)
- 46.0 deg, I = 22, (5 1 0)


[3]
NdNiSn: computed powder diffractogram (Cu Kα (weighted mean of Kα1 and Kα2)), based on a structure optimized by DFT (GGA-PBE).
No peak broadening, texture or thermal motion is included.

Structure:
```
data_NdNiSn
_chemical_formula_sum 'Nd4 Ni4 Sn4'
_cell_length_a 7.4509
_cell_length_b 4.6015
_cell_length_c 7.7002
_cell_angle_alpha 90.00
_cell_angle_beta 90.00
_cell_angle_gamma 90.00
_space_group_name_H-M_alt 'P n m a'
_space_group_IT_number 62
_space_group_name_Hall '-P 2ac 2n'
loop_
_atom_site_label
_atom_site_fract_x
_atom_site_fract_y
_atom_site_fract_z
_atom_site_occupancy
Nd1 0.0168 0.2500 0.2002 1
Ni1 0.1931 0.7500 0.4162 1
Sn1 0.1866 0.2500 0.5880 1
```

Principal peaks in the range 2θ = 10–80°, in order of falling intensity:
- 33.1 deg, I = 100, (2 1 1)
- 32.6 deg, I = 53, (1 1 2)
- 40.2 deg, I = 52, (0 1 3)
- 39.2 deg, I = 42, (0 2 0)
- 33.5 deg, I = 36, (2 0 2)
- 38.1 deg, I = 29, (3 0 1)